The following is a computed X-ray diffraction stick pattern of PrAg2GeSe4. It was derived from a DFT-relaxed cell (GGA-PBE, Alexandria), using copper Kα.

Cell: 8.1658 8.1658 8.1658 Å, 122.05 117.97 90.02°
Atoms (fractional coordinates):
Pr1 0.0000 0.0000 0.0000
Pr2 0.5000 0.0000 0.5000
Ag1 0.0000 0.5000 0.5000
Ag2 0.5000 0.0000 0.0000
Ag3 0.5000 0.5000 0.0000
Ag4 0.5000 0.5000 0.5000
Ge1 0.0000 0.0000 0.5000
Ge2 0.0000 0.5000 0.0000
Se1 0.2305 0.7433 0.4872
Se2 0.2442 0.2549 0.5108
Se3 0.2439 0.2567 0.9872
Se4 0.2442 0.7334 0.9892
Se5 0.7558 0.2666 0.0108
Se6 0.7561 0.7433 0.0128
Se7 0.7558 0.7451 0.4892
Se8 0.7695 0.2567 0.5128

Principal peaks in the range 2θ from 10° to 90°, most intense first:
2theta	d_spacing	Rel. int.
31.01	2.884	100
44.42	2.040	48
73.40	1.290	20
42.99	2.104	13
53.93	1.700	13
56.39	1.632	12
45.88	1.978	11
79.80	1.202	8
64.69	1.441	7
83.89	1.153	7